Diffraction record for LiCo3O6. The X-ray powder pattern is simulated, not measured: it uses a structure optimized by DFT (GGA+U) and Cu Kα (weighted mean of Kα1 and Kα2).
Lines closer than 0.1° are merged.

Main lines, sorted by position (2θ = 10–80°):
2θ = 17.7°, rel. 1000
2θ = 35.9°, rel. 46
2θ = 37.1°, rel. 89
2θ = 37.4°, rel. 180
2θ = 38.8°, rel. 52
2θ = 44.0°, rel. 142
2θ = 44.4°, rel. 280
2θ = 48.0°, rel. 75
2θ = 56.9°, rel. 50
2θ = 57.3°, rel. 95
2θ = 62.4°, rel. 107
2θ = 66.1°, rel. 74

Atomic structure:
```
LiCo3O6
1.0
5.0670 -4.2085 0.0000
5.0670 4.2085 0.0000
-0.7718 0.0000 4.8458
Li Co O
2 6 12
Cartesian
2.3355 0.0000 1.0345
7.0267 0.0000 3.8113
-0.3859 0.0000 2.4229
5.0670 2.7991 0.0000
4.6811 1.4140 2.4229
5.0670 0.0000 0.0000
4.6811 -1.4140 2.4229
5.0670 -2.7991 0.0000
3.5911 2.8198 3.0804
0.3138 0.0000 4.2043
3.9631 1.3555 0.6786
5.7711 2.8198 1.7654
3.5975 0.0000 3.0567
5.3991 1.3555 4.1671
3.9631 -1.3555 0.6786
5.7647 0.0000 1.7891
3.5911 -2.8198 3.0804
5.3991 -1.3555 4.1671
9.0484 0.0000 0.6414
5.7711 -2.8198 1.7654
```